For Li2CaSc, a DFT-relaxed cell (GGA-PBE, Alexandria) gives the computed PXRD pattern in this record (a wavelength of 1.5418 Å).
Lines closer than 0.1° are merged.

Structure:
Cell: 3.3899 5.0299 6.3860 Å, 90.00 105.33 90.00°
Space group Pm (No. 6)
Unique sites:
Li1 0.0000 0.0000 0.0000 x1
Li2 0.1248 0.5000 0.2663 x1
Ca1 0.3855 0.5000 0.7771 x1
Sc1 0.7159 0.0000 0.4426 x1

Top 10 peaks for 2θ from 10° to 80°, by angle:
| (hkl) | 2θ (°) | d [Å] | Rel. int. |
| --- | --- | --- | --- |
| 0 0 1 | 14.38 | 6.159 | 42 |
| 0 1 1 | 22.83 | 3.896 | 96 |
| 1 0 0 | 27.29 | 3.268 | 15 |
| 1 1 -1 | 32.68 | 2.741 | 100 |
| 0 1 2 | 34.14 | 2.626 | 50 |
| 1 0 1 | 34.30 | 2.614 | 56 |
| 0 2 0 | 35.70 | 2.515 | 29 |
| 1 1 2 | 49.18 | 1.853 | 20 |
| 1 2 1 | 50.35 | 1.812 | 34 |
| 1 3 -1 | 62.24 | 1.492 | 25 |